1.
Computed XRD peak list of Ni5Pt3 for Cu Kα X-rays, from a structure optimized by DFT (GGA-PBE).
Peak positions follow from Bragg's law for the DFT cell and can differ from measured ones.

```
Ni5Pt3
1.0
2.6952 0.0000 0.0000
0.0000 2.6952 0.0000
0.0000 0.0000 14.1550
Ni Pt
5 3
Direct
0.0000 0.0000 0.0000
0.0000 0.0000 0.2215
0.0000 0.0000 0.7785
0.5000 0.5000 0.1108
0.5000 0.5000 0.8892
0.0000 0.0000 0.5000
0.5000 0.5000 0.3500
0.5000 0.5000 0.6500
```

Peak list (8 most intense, 2θ = 10–90°, sorted by position)
| Position (°2θ) | I/Imax |
| --- | --- |
| 35.65 | 13 |
| 38.47 | 51 |
| 42.14 | 100 |
| 44.82 | 12 |
| 47.72 | 46 |
| 67.54 | 14 |
| 69.79 | 14 |
| 85.01 | 26 |

2.
Computed XRD peak list of Ni6Pt5 for Cu Kα X-rays, from a structure optimized by DFT (GGA-PBE).
Peak positions follow from Bragg's law for the DFT cell and can differ from measured ones.

```
Ni6Pt5
1.0
4.5835 0.0000 0.0000
-0.8112 5.9092 0.0000
-1.5369 -2.0350 5.4021
Ni Pt
6 5
Direct
0.0000 0.0000 0.0000
0.0859 0.8139 0.3608
0.1790 0.6347 0.7195
0.2723 0.4505 0.0916
0.3596 0.2720 0.4472
0.6296 0.7199 0.5377
0.4487 0.0733 0.8071
0.5255 0.8982 0.1815
0.7278 0.5527 0.8996
0.8251 0.3725 0.2758
0.9165 0.1801 0.6352
```

Peak list (8 most intense, 2θ = 10–90°, sorted by position)
| Position (°2θ) | I/Imax |
| --- | --- |
| 20.62 | 13 |
| 41.54 | 100 |
| 41.64 | 99 |
| 48.20 | 65 |
| 48.80 | 31 |
| 70.99 | 31 |
| 85.23 | 19 |
| 85.41 | 25 |

3.
Computed XRD peak list of PuNiPt6 for Cu Kα X-rays, from a structure optimized by DFT (GGA-PBE).
Peak positions follow from Bragg's law for the DFT cell and can differ from measured ones.

```
PuNiPt6
1.0
4.1680 -2.6570 0.0000
4.1680 2.6570 0.0000
-2.6571 0.0000 6.7101
Pu Ni Pt
1 1 6
Direct
0.0000 0.0000 0.0000
0.5000 0.5000 0.5000
0.0600 0.5676 0.2047
0.1675 0.1675 0.4557
0.4324 0.9400 0.7953
0.5676 0.0600 0.2047
0.8325 0.8325 0.5443
0.9400 0.4324 0.7953
```

Peak list (8 most intense, 2θ = 10–90°, sorted by position)
| Position (°2θ) | I/Imax |
| --- | --- |
| 20.26 | 57 |
| 22.95 | 30 |
| 30.59 | 33 |
| 36.50 | 45 |
| 38.35 | 75 |
| 40.56 | 95 |
| 41.59 | 39 |
| 43.44 | 100 |